Simulated powder X-ray diffraction pattern of LiDyHo2 for a wavelength of 1.5418 Å, from the PBE geometry in Alexandria.

Peak list (6 most intense, 2θ from 5° to 70°, in order of rising 2θ)
| 2theta | d [Å] | Rel. int. | hkl |
| --- | --- | --- | --- |
| 19.96 | 4.448 | 23 | 1 1 1 |
| 23.09 | 3.852 | 13 | 2 0 0 |
| 32.88 | 2.724 | 100 | 2 2 0 |
| 38.76 | 2.323 | 13 | 3 1 1 |
| 47.18 | 1.926 | 18 | 4 0 0 |
| 58.70 | 1.573 | 38 | 4 2 2 |

Cell and atoms:
```
data_LiDyHo2
_chemical_formula_sum 'Li4 Dy4 Ho8'
_space_group_name_H-M_alt 'F m -3 m'
_space_group_IT_number 225
_space_group_name_Hall '-F 4 2 3'
_cell_length_a 7.7049
_cell_length_b 7.7049
_cell_length_c 7.7049
_cell_angle_alpha 90.00
_cell_angle_beta 90.00
_cell_angle_gamma 90.00
loop_
_atom_site_label
_atom_site_type_symbol
_atom_site_fract_x
_atom_site_fract_y
_atom_site_fract_z
Li1 Li 0.0000 0.0000 0.0000
Dy1 Dy 0.0000 0.0000 0.5000
Ho1 Ho 0.2500 0.2500 0.2500
```


Simulated powder X-ray diffraction pattern of Li2Dy2HoMg5 for a wavelength of 1.5418 Å, from the PBE geometry in Alexandria.

Peak list (6 most intense, 2θ from 5° to 70°, in order of rising 2θ)
| 2theta | d [Å] | Rel. int. | hkl |
| --- | --- | --- | --- |
| 18.82 | 4.714 | 61 | 2 1 0 |
| 20.15 | 4.408 | 47 | 0 0 1 |
| 27.71 | 3.220 | 80 | 2 1 1 |
| 31.43 | 2.846 | 53 | 2 2 1 |
| 33.71 | 2.659 | 100 | 3 1 1 |
| 35.10 | 2.557 | 45 | 4 1 0 |

Cell and atoms:
```
data_Li2Dy2HoMg5
_chemical_formula_sum 'Li4 Dy4 Ho2 Mg10'
_space_group_name_H-M_alt 'P 4/m b m'
_space_group_IT_number 127
_space_group_name_Hall '-P 4 2ab'
_cell_length_a 10.5410
_cell_length_b 10.5410
_cell_length_c 4.4079
_cell_angle_alpha 90.00
_cell_angle_beta 90.00
_cell_angle_gamma 90.00
loop_
_atom_site_label
_atom_site_type_symbol
_atom_site_fract_x
_atom_site_fract_y
_atom_site_fract_z
Li1 Li 0.1151 0.3849 0.0000
Dy1 Dy 0.1798 0.6798 0.0000
Ho1 Ho 0.0000 0.0000 0.0000
Mg1 Mg 0.0000 0.5000 0.5000
Mg2 Mg 0.0635 0.2134 0.5000
```


Simulated powder X-ray diffraction pattern of LiDyHoRe for a wavelength of 1.5418 Å, from the PBE geometry in Alexandria.

Peak list (6 most intense, 2θ from 5° to 70°, in order of rising 2θ)
| 2theta | d [Å] | Rel. int. | hkl |
| --- | --- | --- | --- |
| 22.17 | 4.009 | 29 | 1 1 1 |
| 25.66 | 3.472 | 9 | 2 0 0 |
| 36.60 | 2.455 | 100 | 2 2 0 |
| 43.21 | 2.094 | 15 | 3 1 1 |
| 52.72 | 1.736 | 18 | 4 0 0 |
| 65.89 | 1.418 | 36 | 4 2 2 |

Cell and atoms:
```
data_LiDyHoRe
_chemical_formula_sum 'Li4 Dy4 Ho4 Re4'
_space_group_name_H-M_alt 'F -4 3 m'
_space_group_IT_number 216
_space_group_name_Hall 'F -4 2 3'
_cell_length_a 6.9445
_cell_length_b 6.9445
_cell_length_c 6.9445
_cell_angle_alpha 90.00
_cell_angle_beta 90.00
_cell_angle_gamma 90.00
loop_
_atom_site_label
_atom_site_type_symbol
_atom_site_fract_x
_atom_site_fract_y
_atom_site_fract_z
Li1 Li 0.0000 0.0000 0.0000
Dy1 Dy 0.2500 0.2500 0.7500
Ho1 Ho 0.2500 0.2500 0.2500
Re1 Re 0.0000 0.0000 0.5000
```


Simulated powder X-ray diffraction pattern of LiDyHo4S8 for a wavelength of 1.5418 Å, from the PBE geometry in Alexandria.

Peak list (6 most intense, 2θ from 5° to 70°, in order of rising 2θ)
| 2theta | d [Å] | Rel. int. | hkl |
| --- | --- | --- | --- |
| 13.59 | 6.516 | 45 | 0 0 3 |
| 26.19 | 3.403 | 100 | 0 2 1 |
| 27.38 | 3.258 | 25 | 0 0 6 |
| 31.71 | 2.821 | 42 | 0 2 4 |
| 41.58 | 2.172 | 47 | 0 2 7 |
| 45.46 | 1.995 | 63 | 2 2 0 |

Cell and atoms:
```
data_LiDyHo4S8
_chemical_formula_sum 'Li3 Dy3 Ho12 S24'
_space_group_name_H-M_alt 'R 3 m'
_space_group_IT_number 160
_space_group_name_Hall 'R 3 -2"'
_cell_length_a 7.9745
_cell_length_b 7.9745
_cell_length_c 19.5745
_cell_angle_alpha 90.00
_cell_angle_beta 90.00
_cell_angle_gamma 120.00
loop_
_atom_site_label
_atom_site_type_symbol
_atom_site_fract_x
_atom_site_fract_y
_atom_site_fract_z
Li1 Li 0.0000 0.0000 0.0000
Dy1 Dy 0.0000 0.0000 0.3704
Ho1 Ho 0.0000 0.0000 0.7498
Ho2 Ho 0.0123 0.5062 0.8765
S1 S 0.0000 0.0000 0.1317
S2 S 0.0000 0.0000 0.6164
S3 S 0.0218 0.5109 0.1281
S4 S 0.1752 0.3503 0.9557
```


Simulated powder X-ray diffraction pattern of Li4DyHo3Se8 for a wavelength of 1.5418 Å, from the PBE geometry in Alexandria.

Peak list (6 most intense, 2θ from 5° to 70°, in order of rising 2θ)
| 2theta | d [Å] | Rel. int. | hkl |
| --- | --- | --- | --- |
| 13.63 | 6.497 | 53 | 0 0 3 |
| 25.76 | 3.458 | 38 | 0 2 1 |
| 31.39 | 2.850 | 100 | 0 2 4 |
| 44.67 | 2.029 | 38 | 2 2 0 |
| 45.29 | 2.002 | 36 | 2 0 8 |
| 55.61 | 1.653 | 20 | 4 0 4 |

Cell and atoms:
```
data_Li4DyHo3Se8
_chemical_formula_sum 'Li12 Dy3 Ho9 Se24'
_space_group_name_H-M_alt 'R -3 m'
_space_group_IT_number 166
_space_group_name_Hall '-R 3 2"'
_cell_length_a 8.1144
_cell_length_b 8.1144
_cell_length_c 19.4907
_cell_angle_alpha 90.00
_cell_angle_beta 90.00
_cell_angle_gamma 120.00
loop_
_atom_site_label
_atom_site_type_symbol
_atom_site_fract_x
_atom_site_fract_y
_atom_site_fract_z
Li1 Li 0.0000 0.0000 0.0000
Li2 Li 0.0000 0.5000 0.0000
Dy1 Dy 0.0000 0.0000 0.5000
Ho1 Ho 0.0000 0.5000 0.5000
Se1 Se 0.0000 0.0000 0.2507
Se2 Se 0.0009 0.5004 0.7491
```


Simulated powder X-ray diffraction pattern of Li2DyHo3Se6 for a wavelength of 1.5418 Å, from the PBE geometry in Alexandria.

Peak list (6 most intense, 2θ from 5° to 70°, in order of rising 2θ)
| 2theta | d [Å] | Rel. int. | hkl |
| --- | --- | --- | --- |
| 13.44 | 6.588 | 17 | 0 0 1 |
| 25.97 | 3.431 | 13 | 1 3 0 |
| 31.42 | 2.847 | 100 | 1 3 1 |
| 45.02 | 2.014 | 61 | 3 3 -1 |
| 45.09 | 2.011 | 12 | 0 6 0 |
| 55.98 | 1.643 | 19 | 4 0 0 |

Cell and atoms:
```
data_Li2DyHo3Se6
_chemical_formula_sum 'Li4 Dy2 Ho6 Se12'
_space_group_name_H-M_alt 'C 1 2/m 1'
_space_group_IT_number 12
_space_group_name_Hall '-C 2y'
_cell_length_a 6.9679
_cell_length_b 12.0651
_cell_length_c 6.9860
_cell_angle_alpha 90.00
_cell_angle_beta 109.43
_cell_angle_gamma 90.00
loop_
_atom_site_label
_atom_site_type_symbol
_atom_site_fract_x
_atom_site_fract_y
_atom_site_fract_z
Li1 Li 0.0000 0.1678 0.0000
Dy1 Dy 0.0000 0.5000 0.0000
Ho1 Ho 0.0000 0.0000 0.5000
Ho2 Ho 0.0000 0.3341 0.5000
Se1 Se 0.2420 0.0000 0.2440
Se2 Se 0.2492 0.1696 0.7564
```


Simulated powder X-ray diffraction pattern of DyHo2Lu for a wavelength of 1.5418 Å, from the PBE geometry in Alexandria.

Peak list (6 most intense, 2θ from 5° to 70°, in order of rising 2θ)
| 2theta | d [Å] | Rel. int. | hkl |
| --- | --- | --- | --- |
| 31.25 | 2.863 | 100 | 1 0 4 |
| 31.35 | 2.853 | 33 | 0 0 12 |
| 36.27 | 2.477 | 67 | 0 1 8 |
| 52.16 | 1.754 | 24 | 1 1 0 |
| 52.30 | 1.749 | 24 | 1 0 16 |
| 62.11 | 1.494 | 43 | 1 1 12 |

Cell and atoms:
```
data_DyHo2Lu
_chemical_formula_sum 'Dy3 Ho6 Lu3'
_space_group_name_H-M_alt 'R -3 m'
_space_group_IT_number 166
_space_group_name_Hall '-R 3 2"'
_cell_length_a 3.5073
_cell_length_b 3.5073
_cell_length_c 34.2381
_cell_angle_alpha 90.00
_cell_angle_beta 90.00
_cell_angle_gamma 120.00
loop_
_atom_site_label
_atom_site_type_symbol
_atom_site_fract_x
_atom_site_fract_y
_atom_site_fract_z
Dy1 Dy 0.0000 0.0000 0.0000
Ho1 Ho 0.0000 0.0000 0.2492
Lu1 Lu 0.0000 0.0000 0.5000
```


Simulated powder X-ray diffraction pattern of Dy4HoLu for a wavelength of 1.5418 Å, from the PBE geometry in Alexandria.

Peak list (6 most intense, 2θ from 5° to 70°, in order of rising 2θ)
| 2theta | d [Å] | Rel. int. | hkl |
| --- | --- | --- | --- |
| 27.45 | 3.249 | 28 | 2 2 0 |
| 32.31 | 2.771 | 100 | 3 1 1 |
| 33.79 | 2.653 | 39 | 2 2 2 |
| 51.69 | 1.769 | 36 | 5 1 1 |
| 56.66 | 1.624 | 31 | 4 4 0 |
| 67.62 | 1.385 | 16 | 6 2 2 |

Cell and atoms:
```
data_Dy4HoLu
_chemical_formula_sum 'Dy16 Ho4 Lu4'
_space_group_name_H-M_alt 'F -4 3 m'
_space_group_IT_number 216
_space_group_name_Hall 'F -4 2 3'
_cell_length_a 9.1895
_cell_length_b 9.1895
_cell_length_c 9.1895
_cell_angle_alpha 90.00
_cell_angle_beta 90.00
_cell_angle_gamma 90.00
loop_
_atom_site_label
_atom_site_type_symbol
_atom_site_fract_x
_atom_site_fract_y
_atom_site_fract_z
Dy1 Dy 0.1250 0.1250 0.1250
Ho1 Ho 0.0000 0.0000 0.5000
Lu1 Lu 0.2500 0.2500 0.7500
```


Simulated powder X-ray diffraction pattern of DyHo2Mg8 for a wavelength of 1.5418 Å, from the PBE geometry in Alexandria.

Peak list (6 most intense, 2θ from 5° to 70°, in order of rising 2θ)
| 2theta | d [Å] | Rel. int. | hkl |
| --- | --- | --- | --- |
| 20.31 | 4.373 | 92 | 1 1 0 |
| 22.20 | 4.005 | 52 | 0 1 3 |
| 25.44 | 3.501 | 37 | 1 0 3 |
| 32.75 | 2.734 | 65 | 1 1 4 |
| 33.92 | 2.643 | 40 | 2 0 0 |
| 34.46 | 2.603 | 100 | 1 2 3 |

Cell and atoms:
```
data_DyHo2Mg8
_chemical_formula_sum 'Dy2 Ho4 Mg16'
_space_group_name_H-M_alt 'I m m m'
_space_group_IT_number 71
_space_group_name_Hall '-I 2 2'
_cell_length_a 5.2867
_cell_length_b 7.7819
_cell_length_c 14.0136
_cell_angle_alpha 90.00
_cell_angle_beta 90.00
_cell_angle_gamma 90.00
loop_
_atom_site_label
_atom_site_type_symbol
_atom_site_fract_x
_atom_site_fract_y
_atom_site_fract_z
Dy1 Dy 0.0000 0.0000 0.0000
Ho1 Ho 0.0000 0.0000 0.2878
Mg1 Mg 0.0000 0.2062 0.5000
Mg2 Mg 0.0000 0.3090 0.1351
Mg3 Mg 0.0000 0.5000 0.3468
```


Simulated powder X-ray diffraction pattern of Dy6Ho5Mg2 for a wavelength of 1.5418 Å, from the PBE geometry in Alexandria.

Peak list (6 most intense, 2θ from 5° to 70°, in order of rising 2θ)
| 2theta | d [Å] | Rel. int. | hkl |
| --- | --- | --- | --- |
| 28.65 | 3.116 | 98 | 3 3 0 |
| 29.97 | 2.982 | 87 | 0 4 1 |
| 31.98 | 2.798 | 92 | 0 8 0 |
| 32.91 | 2.721 | 100 | 3 5 0 |
| 33.07 | 2.709 | 79 | 2 3 1 |
| 36.83 | 2.441 | 87 | 3 1 1 |

Cell and atoms:
```
data_Dy6Ho5Mg2
_chemical_formula_sum 'Dy12 Ho10 Mg4'
_space_group_name_H-M_alt 'P b a m'
_space_group_IT_number 55
_space_group_name_Hall '-P 2 2ab'
_cell_length_a 10.2888
_cell_length_b 22.3860
_cell_length_c 3.5236
_cell_angle_alpha 90.00
_cell_angle_beta 90.00
_cell_angle_gamma 90.00
loop_
_atom_site_label
_atom_site_type_symbol
_atom_site_fract_x
_atom_site_fract_y
_atom_site_fract_z
Dy1 Dy 0.0197 0.1128 0.0000
Dy2 Dy 0.1431 0.3817 0.0000
Dy3 Dy 0.1692 0.6338 0.5000
Ho1 Ho 0.0000 0.5000 0.5000
Ho2 Ho 0.0779 0.2487 0.5000
Ho3 Ho 0.1660 0.9938 0.5000
Mg1 Mg 0.1718 0.7604 0.0000
```


Simulated powder X-ray diffraction pattern of DyHo5Mg6 for a wavelength of 1.5418 Å, from the PBE geometry in Alexandria.

Peak list (6 most intense, 2θ from 5° to 70°, in order of rising 2θ)
| 2theta | d [Å] | Rel. int. | hkl |
| --- | --- | --- | --- |
| 23.48 | 3.789 | 65 | 1 3 0 |
| 23.69 | 3.756 | 32 | 0 0 2 |
| 33.45 | 2.679 | 51 | 2 0 0 |
| 33.60 | 2.667 | 100 | 1 3 2 |
| 41.40 | 2.181 | 30 | 2 0 2 |
| 59.89 | 1.544 | 38 | 3 3 2 |

Cell and atoms:
```
data_DyHo5Mg6
_chemical_formula_sum 'Dy2 Ho10 Mg12'
_space_group_name_H-M_alt 'C m m m'
_space_group_IT_number 65
_space_group_name_Hall '-C 2 2'
_cell_length_a 5.3591
_cell_length_b 16.0701
_cell_length_c 7.5117
_cell_angle_alpha 90.00
_cell_angle_beta 90.00
_cell_angle_gamma 90.00
loop_
_atom_site_label
_atom_site_type_symbol
_atom_site_fract_x
_atom_site_fract_y
_atom_site_fract_z
Dy1 Dy 0.0000 0.0000 0.0000
Ho1 Ho 0.0000 0.0000 0.5000
Ho2 Ho 0.0000 0.3332 0.0000
Ho3 Ho 0.0000 0.3336 0.5000
Mg1 Mg 0.0000 0.1670 0.2502
Mg2 Mg 0.0000 0.5000 0.2503
```


Simulated powder X-ray diffraction pattern of Dy2HoMg6 for a wavelength of 1.5418 Å, from the PBE geometry in Alexandria.

Peak list (6 most intense, 2θ from 5° to 70°, in order of rising 2θ)
| 2theta | d [Å] | Rel. int. | hkl |
| --- | --- | --- | --- |
| 19.60 | 4.528 | 100 | 1 1 0 |
| 33.74 | 2.656 | 100 | 1 1 1 |
| 34.30 | 2.614 | 62 | 3 0 0 |
| 48.88 | 1.863 | 35 | 2 2 1 |
| 61.07 | 1.517 | 36 | 4 1 1 |
| 67.41 | 1.389 | 17 | 3 0 2 |

Cell and atoms:
```
data_Dy2HoMg6
_chemical_formula_sum 'Dy2 Ho1 Mg6'
_space_group_name_H-M_alt 'P 6/m m m'
_space_group_IT_number 191
_space_group_name_Hall '-P 6 2'
_cell_length_a 9.0564
_cell_length_b 9.0564
_cell_length_c 3.2796
_cell_angle_alpha 90.00
_cell_angle_beta 90.00
_cell_angle_gamma 120.00
loop_
_atom_site_label
_atom_site_type_symbol
_atom_site_fract_x
_atom_site_fract_y
_atom_site_fract_z
Dy1 Dy 0.3333 0.6667 0.0000
Ho1 Ho 0.0000 0.0000 0.0000
Mg1 Mg 0.0000 0.3328 0.5000
```


Simulated powder X-ray diffraction pattern of Dy4Ho4Mg for a wavelength of 1.5418 Å, from the PBE geometry in Alexandria.

Peak list (6 most intense, 2θ from 5° to 70°, in order of rising 2θ)
| 2theta | d [Å] | Rel. int. | hkl |
| --- | --- | --- | --- |
| 31.25 | 2.862 | 100 | 3 0 1 |
| 35.94 | 2.499 | 17 | 0 0 2 |
| 36.40 | 2.469 | 33 | 3 3 0 |
| 52.08 | 1.756 | 24 | 3 3 2 |
| 61.69 | 1.504 | 14 | 3 0 3 |
| 62.31 | 1.490 | 28 | 6 3 1 |

Cell and atoms:
```
data_Dy4Ho4Mg
_chemical_formula_sum 'Dy8 Ho8 Mg2'
_space_group_name_H-M_alt 'I 4/m m m'
_space_group_IT_number 139
_space_group_name_Hall '-I 4 2'
_cell_length_a 10.4731
_cell_length_b 10.4731
_cell_length_c 4.9979
_cell_angle_alpha 90.00
_cell_angle_beta 90.00
_cell_angle_gamma 90.00
loop_
_atom_site_label
_atom_site_type_symbol
_atom_site_fract_x
_atom_site_fract_y
_atom_site_fract_z
Dy1 Dy 0.0000 0.3333 0.0000
Ho1 Ho 0.1668 0.1668 0.5000
Mg1 Mg 0.0000 0.0000 0.0000
```